Starting from a structure optimized by DFT (PBE), the powder XRD pattern of CaLa8 was calculated for Cu Ka.

Structure:
Cell: 6.503 6.503 9.149 Å, 90.05 90.05 120.01°
Sites, in units of the cell vectors:
Ca 0.000 0.000 0.000
La 0.001 0.657 0.337
La 0.333 0.667 0.000
La 0.343 0.999 0.663
La 0.344 0.344 0.337
La 0.656 0.656 0.663
La 0.657 0.001 0.337
La 0.667 0.333 0.000
La 0.999 0.343 0.663

The 10 most intense peaks (15° ≤ 2θ ≤ 90°), by angle:
two_theta  d_spacing  I (rel.)
29.15  3.064  100
29.28  3.050  33
33.82  2.650  68
48.49  1.877  24
48.67  1.871  24
57.61  1.600  33
57.73  1.597  14
60.43  1.532  12
78.53  1.218  11
81.01  1.187  11